[1]
Theoretical powder XRD pattern
Compound: PuGa3Au9
Radiation: Cu Ka
Structure: DFT lattice parameters and positions (PBE)
Lines closer than 0.1° are merged.

Structure:
```
13
Lattice="2.679 -6.792 0.000 2.679 6.792 0.000 -2.149 0.000 6.692" Properties=species:S:1:pos:R:3 pbc="T T T"
Pu 0.000 0.000 0.000
Ga 1.339 3.396 0.000
Ga 1.339 -3.396 0.000
Ga 1.604 0.000 3.346
Au -1.075 0.000 3.346
Au 0.558 4.369 4.469
Au 2.650 4.369 2.223
Au 0.605 1.435 5.285
Au 2.604 1.435 1.406
Au 0.605 -1.435 5.285
Au 2.604 -1.435 1.406
Au 0.558 -4.369 4.469
Au 2.650 -4.369 2.223
```

Most intense lines, 2θ = 5–70°, in order of falling intensity:
two_theta	d [Å]	I_rel
37.72	2.385	100
37.51	2.398	92
33.59	2.668	89
36.95	2.433	49
43.11	2.099	40
31.95	2.801	40
39.60	2.276	38
39.39	2.288	31
41.57	2.172	28
38.00	2.368	24

***

[2]
Theoretical powder XRD pattern
Compound: Pr6Nd
Radiation: Cu Ka
Structure: DFT lattice parameters and positions (PBE)
Lines closer than 0.1° are merged.

Structure:
```
7
Lattice="7.756 4.478 1.217 -7.756 4.478 1.217 0.000 -8.956 1.217" Properties=species:S:1:pos:R:3 pbc="T T T"
Pr -4.449 -4.004 1.596
Pr -5.692 1.852 2.054
Pr 1.242 -5.855 2.054
Pr -1.242 5.855 1.596
Pr 5.692 -1.852 1.596
Pr 4.449 4.004 2.054
Nd 0.000 0.000 1.825
```

Most intense lines, 2θ = 5–70°, in order of falling intensity:
two_theta	d [Å]	I_rel
30.49	2.932	100
30.15	2.964	96
53.98	1.699	33
43.42	2.084	32
54.19	1.693	18
53.34	1.717	14
63.46	1.466	10
62.69	1.482	7
34.39	2.607	6
55.37	1.659	4

***

[3]
Theoretical powder XRD pattern
Compound: CaSbF5
Radiation: Cu Ka
Structure: DFT lattice parameters and positions (PBE)
Lines closer than 0.1° are merged.

Structure:
```
14
Lattice="5.826 0.000 0.000 1.581 5.616 0.000 2.761 2.091 7.864" Properties=species:S:1:pos:R:3 pbc="T T T"
Ca 0.000 0.000 0.000
Ca 2.974 6.648 3.931
Sb 5.518 4.614 5.706
Sb 4.564 3.006 1.773
F 4.236 6.558 5.868
F 3.970 3.442 6.533
F 3.026 4.120 0.946
F 3.029 1.824 2.605
F 4.291 4.674 4.093
F 4.292 1.811 0.159
F 6.187 2.842 4.866
F 6.954 5.449 4.380
F 5.738 4.178 0.443
F 6.091 1.243 1.932
```

Most intense lines, 2θ = 5–70°, in order of falling intensity:
two_theta	d [Å]	I_rel
24.31	3.662	100
20.89	4.253	85
16.34	5.423	47
25.30	3.520	36
42.51	2.127	24
49.81	1.831	20
43.99	2.058	19
31.34	2.854	18
40.29	2.238	18
17.31	5.122	17

***

[4]
Theoretical powder XRD pattern
Compound: TaGaH
Radiation: Cu Ka
Structure: DFT lattice parameters and positions (PBE)
Lines closer than 0.1° are merged.

Structure:
```
6
Lattice="3.387 0.000 0.000 -0.005 5.144 0.000 -1.686 -2.538 4.260" Properties=species:S:1:pos:R:3 pbc="T T T"
Ta 0.000 0.101 1.769
Ta 1.696 2.505 2.491
Ga 0.007 -1.231 4.139
Ga 1.688 3.838 0.121
H 0.003 2.033 1.606
H 1.692 0.573 2.654
```

Most intense lines, 2θ = 5–70°, in order of falling intensity:
two_theta	d [Å]	I_rel
31.63	2.829	100
41.50	2.176	60
38.11	2.361	58
40.84	2.210	46
41.15	2.194	32
38.27	2.352	31
20.85	4.260	30
36.26	2.478	28
45.62	1.989	27
54.16	1.693	22